Structure and theoretical X-ray powder pattern of Ba3AlHO4 (a DFT-relaxed cell (GGA-PBE, the Materials Project); copper Kα).

Atomic structure:
Cell lengths 10.627, 8.273, 7.340 Å; angles 90.00, 90.00, 90.00 degrees
Fractional coordinates of all 36 atoms:
Ba: 0.037 0.250 0.098
Ba: 0.166 0.026 0.601
Ba: 0.166 0.474 0.601
Ba: 0.334 0.526 0.101
Ba: 0.334 0.974 0.101
Ba: 0.463 0.750 0.598
Ba: 0.537 0.250 0.402
Ba: 0.666 0.026 0.899
Ba: 0.666 0.474 0.899
Ba: 0.834 0.526 0.399
Ba: 0.834 0.974 0.399
Ba: 0.963 0.750 0.902
Al: 0.104 0.750 0.311
Al: 0.396 0.250 0.811
Al: 0.604 0.750 0.189
Al: 0.896 0.250 0.689
H: 0.231 0.750 0.839
H: 0.269 0.250 0.339
H: 0.731 0.750 0.661
H: 0.769 0.250 0.161
O: 0.012 0.750 0.517
O: 0.072 0.566 0.194
O: 0.072 0.934 0.194
O: 0.233 0.250 0.871
O: 0.267 0.750 0.371
O: 0.428 0.066 0.694
O: 0.428 0.434 0.694
O: 0.488 0.250 0.017
O: 0.512 0.750 0.983
O: 0.572 0.566 0.306
O: 0.572 0.934 0.306
O: 0.733 0.250 0.629
O: 0.767 0.750 0.129
O: 0.928 0.066 0.806
O: 0.928 0.434 0.806
O: 0.988 0.250 0.483

Main lines, in order of rising 2θ (10° ≤ 2θ ≤ 80°):
- 2θ = 25.7°, intensity 52.4
- 2θ = 26.1°, intensity 60.5
- 2θ = 27.3°, intensity 47.4
- 2θ = 27.9°, intensity 100.0
- 2θ = 30.0°, intensity 45.0
- 2θ = 33.7°, intensity 47.2
- 2θ = 35.5°, intensity 16.8
- 2θ = 36.0°, intensity 25.1
- 2θ = 43.8°, intensity 20.9
- 2θ = 46.4°, intensity 27.4
- 2θ = 52.7°, intensity 16.2
- 2θ = 54.6°, intensity 23.7


Structure and theoretical X-ray powder pattern of SiO2 (a DFT-relaxed cell (GGA-PBE, the Materials Project); copper Kα).

Atomic structure:
Cell lengths 6.905, 6.905, 6.905 Å; angles 98.38, 98.38, 135.12 degrees
Fractional coordinates of all 12 atoms:
Si: 0.177 0.177 0.353
Si: 0.177 0.823 0.000
Si: 0.823 0.177 0.000
Si: 0.823 0.823 0.647
O: 0.000 0.000 0.500
O: 0.000 0.209 0.209
O: 0.000 0.500 0.000
O: 0.000 0.791 0.791
O: 0.209 0.000 0.209
O: 0.500 0.000 0.000
O: 0.500 0.500 0.500
O: 0.791 0.000 0.791

Main lines, in order of rising 2θ (10° ≤ 2θ ≤ 80°):
- 2θ = 13.9°, intensity 20.9
- 2θ = 19.5°, intensity 100.0
- 2θ = 19.7°, intensity 98.6
- 2θ = 27.8°, intensity 23.3
- 2θ = 31.3°, intensity 13.1
- 2θ = 34.0°, intensity 8.0
- 2θ = 34.3°, intensity 24.8
- 2θ = 46.9°, intensity 7.5
- 2θ = 53.7°, intensity 13.2
- 2θ = 72.3°, intensity 8.2
- 2θ = 72.5°, intensity 7.6
- 2θ = 75.8°, intensity 8.0